Entry 1:
# LaTbNd2Er
Computed X-ray diffraction stick pattern, Cu Kα (λ = 1.5418 Å). Input: a GGA-PBE-relaxed structure.

Structure:
abc: 8.6258 6.5297 6.3264
angles: 90.00 97.96 90.00
Fractional coordinates of all 10 atoms:
1 La 0.0000 0.0000 0.0000
2 La 0.0000 0.0000 0.5000
3 Tb 0.0000 0.4425 0.2500
4 Tb 0.0000 0.5575 0.7500
5 Nd 0.3134 0.3125 0.7047
6 Nd 0.3134 0.6875 0.2047
7 Nd 0.6866 0.3125 0.7953
8 Nd 0.6866 0.6875 0.2953
9 Er 0.5000 0.1657 0.2500
10 Er 0.5000 0.8343 0.7500

Largest 10 diffraction maxima, low angle first, 2θ = 5–70°:
d = 4.271 Å, 20.8°, I = 45
d = 3.272 Å, 27.3°, I = 74
d = 3.133 Å, 28.5°, I = 57
d = 3.082 Å, 29.0°, I = 44
d = 3.050 Å, 29.3°, I = 100
d = 2.961 Å, 30.2°, I = 100
d = 2.797 Å, 32.0°, I = 66
d = 2.590 Å, 34.6°, I = 93
d = 2.526 Å, 35.5°, I = 43
d = 2.144 Å, 42.2°, I = 54

---

Entry 2:
# La2TbNdEr2
Computed X-ray diffraction stick pattern, Cu Kα (λ = 1.5418 Å). Input: a GGA-PBE-relaxed structure.

Structure:
abc: 5.7262 9.9111 7.1096
angles: 90.00 90.00 90.00
Fractional coordinates of all 12 atoms:
1 La 0.0000 0.0003 0.0000
2 La 0.0000 0.9997 0.5000
3 La 0.5000 0.1766 0.2502
4 La 0.5000 0.8234 0.7502
5 Tb 0.5000 0.4999 0.9996
6 Tb 0.5000 0.5001 0.4996
7 Nd 0.0000 0.3317 0.2497
8 Nd 0.0000 0.6683 0.7497
9 Er 0.0000 0.3401 0.7495
10 Er 0.0000 0.6599 0.2495
11 Er 0.5000 0.1674 0.7500
12 Er 0.5000 0.8326 0.2500

Largest 10 diffraction maxima, low angle first, 2θ = 5–70°:
d = 2.889 Å, 31.0°, I = 90
d = 2.862 Å, 31.3°, I = 100
d = 2.229 Å, 40.5°, I = 12
d = 2.033 Å, 44.6°, I = 33
d = 1.777 Å, 51.4°, I = 8
d = 1.658 Å, 55.4°, I = 35
d = 1.652 Å, 55.6°, I = 19
d = 1.510 Å, 61.4°, I = 10
d = 1.510 Å, 61.4°, I = 19
d = 1.431 Å, 65.2°, I = 12

---

Entry 3:
# LaTbNd2Er2
Computed X-ray diffraction stick pattern, Cu Kα (λ = 1.5418 Å). Input: a GGA-PBE-relaxed structure.

Structure:
abc: 7.0145 16.4134 3.5420
angles: 90.00 90.00 90.00
Fractional coordinates of all 12 atoms:
1 La 0.0000 0.0000 0.0000
2 La 0.5000 0.5000 0.5000
3 Tb 0.0000 0.5000 0.5000
4 Tb 0.5000 0.0000 0.0000
5 Nd 0.2461 0.3386 0.0000
6 Nd 0.2539 0.8386 0.5000
7 Nd 0.7461 0.1614 0.5000
8 Nd 0.7539 0.6614 0.0000
9 Er 0.2485 0.1534 0.5000
10 Er 0.2515 0.6534 0.0000
11 Er 0.7485 0.3466 0.0000
12 Er 0.7515 0.8466 0.5000

Largest 10 diffraction maxima, low angle first, 2θ = 5–70°:
d = 3.225 Å, 27.7°, I = 44
d = 2.973 Å, 30.1°, I = 100
d = 2.736 Å, 32.7°, I = 37
d = 2.666 Å, 33.6°, I = 47
d = 2.464 Å, 36.5°, I = 59
d = 1.985 Å, 45.7°, I = 14
d = 1.708 Å, 53.7°, I = 30
d = 1.510 Å, 61.4°, I = 26
d = 1.487 Å, 62.5°, I = 22
d = 1.476 Å, 63.0°, I = 27

---

Entry 4:
# La2TbNd5Er
Computed X-ray diffraction stick pattern, Cu Kα (λ = 1.5418 Å). Input: a GGA-PBE-relaxed structure.

Structure:
abc: 10.6449 10.6449 10.8452
angles: 90.00 90.00 148.70
Fractional coordinates of all 18 atoms:
1 La 0.1139 0.8861 0.5000
2 La 0.1173 0.8827 0.0820
3 La 0.8827 0.1173 0.5820
4 La 0.8861 0.1139 0.0000
5 Tb 0.2003 0.7997 0.7749
6 Tb 0.7997 0.2003 0.2749
7 Nd 0.0155 0.9845 0.7853
8 Nd 0.2783 0.7217 0.0765
9 Nd 0.2959 0.7041 0.4681
10 Nd 0.3859 0.6141 0.7874
11 Nd 0.4822 0.5178 0.5088
12 Nd 0.5178 0.4822 0.0088
13 Nd 0.6141 0.3859 0.2874
14 Nd 0.7041 0.2959 0.9681
15 Nd 0.7217 0.2783 0.5765
16 Nd 0.9845 0.0155 0.2853
17 Er 0.4072 0.5928 0.2294
18 Er 0.5928 0.4072 0.7294

Largest 10 diffraction maxima, low angle first, 2θ = 5–70°:
d = 3.414 Å, 26.1°, I = 11
d = 3.259 Å, 27.4°, I = 15
d = 3.026 Å, 29.5°, I = 34
d = 2.871 Å, 31.2°, I = 39
d = 2.842 Å, 31.5°, I = 100
d = 2.711 Å, 33.0°, I = 13
d = 1.971 Å, 46.0°, I = 10
d = 1.652 Å, 55.6°, I = 20
d = 1.591 Å, 58.0°, I = 13
d = 1.544 Å, 59.9°, I = 13

---

Entry 5:
# La3Nd4ErTe8
Computed X-ray diffraction stick pattern, Cu Kα (λ = 1.5418 Å). Input: a GGA-PBE-relaxed structure.

Structure:
abc: 9.0068 9.0068 9.0068
angles: 60.22 60.22 60.22
Fractional coordinates of all 16 atoms:
1 La 0.0000 0.5000 0.5000
2 La 0.5000 0.0000 0.5000
3 La 0.5000 0.5000 0.0000
4 Nd 0.0000 0.0000 0.5000
5 Nd 0.0000 0.5000 0.0000
6 Nd 0.5000 0.0000 0.0000
7 Nd 0.5000 0.5000 0.5000
8 Er 0.0000 0.0000 0.0000
9 Te 0.2412 0.7557 0.7557
10 Te 0.2443 0.2443 0.7588
11 Te 0.2443 0.7588 0.2443
12 Te 0.2484 0.2484 0.2484
13 Te 0.7516 0.7516 0.7516
14 Te 0.7557 0.2412 0.7557
15 Te 0.7557 0.7557 0.2412
16 Te 0.7588 0.2443 0.2443

Largest 10 diffraction maxima, low angle first, 2θ = 5–70°:
d = 7.375 Å, 12.0°, I = 1
d = 3.687 Å, 24.1°, I = 1
d = 3.190 Å, 28.0°, I = 100
d = 2.259 Å, 39.9°, I = 38
d = 2.252 Å, 40.0°, I = 38
d = 1.844 Å, 49.4°, I = 21
d = 1.835 Å, 49.7°, I = 7
d = 1.595 Å, 57.8°, I = 13
d = 1.428 Å, 65.3°, I = 18
d = 1.425 Å, 65.5°, I = 18

---

Entry 6:
# LaNdErTh2
Computed X-ray diffraction stick pattern, Cu Kα (λ = 1.5418 Å). Input: a GGA-PBE-relaxed structure.

Structure:
abc: 8.5788 8.5788 6.7549
angles: 90.00 90.00 133.71
Fractional coordinates of all 10 atoms:
1 La 0.2449 0.7551 0.7500
2 La 0.7551 0.2449 0.2500
3 Nd 0.3485 0.6515 0.2500
4 Nd 0.6515 0.3485 0.7500
5 Er 0.1498 0.8502 0.2500
6 Er 0.8502 0.1498 0.7500
7 Th 0.2477 0.2477 0.0000
8 Th 0.2477 0.2477 0.5000
9 Th 0.7523 0.7523 0.0000
10 Th 0.7523 0.7523 0.5000

Largest 10 diffraction maxima, low angle first, 2θ = 5–70°:
d = 7.888 Å, 11.2°, I = 20
d = 3.534 Å, 25.2°, I = 16
d = 3.103 Å, 28.8°, I = 100
d = 2.631 Å, 34.1°, I = 39
d = 2.564 Å, 35.0°, I = 40
d = 2.386 Å, 37.7°, I = 42
d = 1.768 Å, 51.7°, I = 31
d = 1.482 Å, 62.7°, I = 23
d = 1.429 Å, 65.3°, I = 17
d = 1.410 Å, 66.3°, I = 13

---

Entry 7:
# LaNdEr3Th
Computed X-ray diffraction stick pattern, Cu Kα (λ = 1.5418 Å). Input: a GGA-PBE-relaxed structure.

Structure:
abc: 10.7165 3.5901 10.7939
angles: 90.00 108.96 90.00
Fractional coordinates of all 12 atoms:
1 La 0.2112 0.2500 0.3717
2 La 0.7888 0.7500 0.6283
3 Nd 0.1303 0.7500 0.6339
4 Nd 0.8697 0.2500 0.3661
5 Er 0.0442 0.2500 0.8796
6 Er 0.2944 0.7500 0.1166
7 Er 0.4610 0.7500 0.6322
8 Er 0.5390 0.2500 0.3678
9 Er 0.7056 0.2500 0.8834
10 Er 0.9558 0.7500 0.1204
11 Th 0.3787 0.2500 0.8774
12 Th 0.6213 0.7500 0.1226

Largest 10 diffraction maxima, low angle first, 2θ = 5–70°:
d = 2.936 Å, 30.4°, I = 100
d = 2.918 Å, 30.6°, I = 33
d = 2.552 Å, 35.2°, I = 22
d = 2.532 Å, 35.5°, I = 45
d = 1.802 Å, 50.7°, I = 16
d = 1.794 Å, 50.9°, I = 24
d = 1.532 Å, 60.4°, I = 14
d = 1.529 Å, 60.6°, I = 19
d = 1.523 Å, 60.8°, I = 9
d = 1.468 Å, 63.4°, I = 12

---

Entry 8:
# LaNdEr2Th
Computed X-ray diffraction stick pattern, Cu Kα (λ = 1.5418 Å). Input: a GGA-PBE-relaxed structure.

Structure:
abc: 3.5396 5.6966 8.7520
angles: 90.00 90.05 90.00
Fractional coordinates of all 5 atoms:
1 La 0.0000 0.0000 0.0000
2 Nd 0.5000 0.0000 0.5000
3 Er 0.0010 0.5000 0.3201
4 Er 0.9990 0.5000 0.6799
5 Th 0.5000 0.5000 0.0000

Largest 10 diffraction maxima, low angle first, 2θ = 5–70°:
d = 5.697 Å, 15.6°, I = 16
d = 2.917 Å, 30.6°, I = 13
d = 2.845 Å, 31.4°, I = 100
d = 2.752 Å, 32.5°, I = 15
d = 2.597 Å, 34.5°, I = 20
d = 2.478 Å, 36.3°, I = 21
d = 1.979 Å, 45.8°, I = 12
d = 1.769 Å, 51.7°, I = 14
d = 1.643 Å, 56.0°, I = 15
d = 1.513 Å, 61.3°, I = 19